Diffraction record for PrGaCo2. The powder X-ray diffraction pattern is theoretical, not measured: it uses DFT lattice parameters and positions (GGA-PBE) and Cu Kα.
Intensities are scaled so that the largest is 1000.

Atomic structure:
```
data_PrGaCo2
_symmetry_space_group_name_H-M 'P m m a'
_symmetry_Int_Tables_number 51
_cell_length_a 5.282
_cell_length_b 3.734
_cell_length_c 6.944
_cell_angle_alpha 90.00
_cell_angle_beta 90.00
_cell_angle_gamma 90.00
loop_
_symmetry_equiv_pos_as_xyz
'x,y,z'
'-x,-y,-z'
'-x+1/2,-y,z'
'x+1/2,y,-z'
'x+1/2,-y,-z'
'-x+1/2,y,z'
'-x,y,-z'
'x,-y,z'
loop_
_atom_site_label
_atom_site_fract_x
_atom_site_fract_y
_atom_site_fract_z
Pr1 0.250 0.000 0.172
Ga1 0.250 0.000 0.615
Co1 0.000 0.500 0.500
Co2 0.250 0.500 0.832
```

Peak list (10 most intense, 2θ from 10° to 80°, by intensity)
| hkl | 2theta | d_spacing | I (rel.) |
| --- | --- | --- | --- |
| 1 1 2 | 39.3 | 2.291 | 1000 |
| 1 1 1 | 32.1 | 2.792 | 503 |
| 2 1 0 | 41.9 | 2.156 | 326 |
| 1 0 2 | 30.8 | 2.901 | 305 |
| 2 0 0 | 33.9 | 2.641 | 293 |
| 0 2 0 | 48.8 | 1.867 | 256 |
| 3 1 2 | 64.4 | 1.448 | 225 |
| 0 0 3 | 38.9 | 2.315 | 216 |
| 2 0 2 | 43.0 | 2.102 | 174 |
| 3 0 2 | 58.8 | 1.570 | 148 |